(1)
Calculated powder diffraction line list
Compound: Cs2SrZnF6
Radiation: Cu Kα X-rays
Structure: a structure optimized by DFT (PBE)
Neutral-atom scattering factors, no anomalous dispersion.

Main lines, in order of rising 2θ (10 to 90 degrees two-theta):
two_theta, I/Imax
14.3, 36
21.2, 72
27.2, 100
33.0, 52
34.7, 57
43.2, 45
51.8, 33
56.0, 22

Cell and atoms:
Unit cell a=6.567 b=6.567 c=6.187 alpha=90.00 beta=90.00 gamma=120.00
Fractional positions:
Cs (0.333, 0.667, 0.134)
Cs (0.667, 0.333, 0.866)
Sr (0.000, 0.000, 0.500)
Zn (0.000, 0.000, 0.000)
F (0.144, 0.288, 0.791)
F (0.144, 0.856, 0.791)
F (0.288, 0.144, 0.209)
F (0.712, 0.856, 0.791)
F (0.856, 0.144, 0.209)
F (0.856, 0.712, 0.209)


(2)
Calculated powder diffraction line list
Compound: Cs6TaF12
Radiation: Cu Kα X-rays
Structure: a structure optimized by DFT (PBE)
Neutral-atom scattering factors, no anomalous dispersion.

Main lines, in order of rising 2θ (10 to 90 degrees two-theta):
two_theta, I/Imax
17.6, 15
22.4, 100
22.6, 31
26.0, 45
36.9, 30
37.2, 28
43.8, 32
44.0, 11

Cell and atoms:
Unit cell a=8.409 b=8.409 c=8.409 alpha=99.93 beta=99.93 gamma=99.93
Fractional positions:
Cs (0.088, 0.646, 0.831)
Cs (0.169, 0.912, 0.354)
Cs (0.354, 0.169, 0.912)
Cs (0.646, 0.831, 0.088)
Cs (0.831, 0.088, 0.646)
Cs (0.912, 0.354, 0.169)
Ta (0.500, 0.500, 0.500)
F (0.088, 0.329, 0.897)
F (0.103, 0.912, 0.671)
F (0.277, 0.521, 0.419)
F (0.329, 0.897, 0.088)
F (0.419, 0.277, 0.521)
F (0.479, 0.581, 0.723)
F (0.521, 0.419, 0.277)
F (0.581, 0.723, 0.479)
F (0.671, 0.103, 0.912)
F (0.723, 0.479, 0.581)
F (0.897, 0.088, 0.329)
F (0.912, 0.671, 0.103)


(3)
Calculated powder diffraction line list
Compound: Cs4TbF7
Radiation: Cu Kα X-rays
Structure: a structure optimized by DFT (PBE)
Neutral-atom scattering factors, no anomalous dispersion.

Main lines, in order of rising 2θ (10 to 90 degrees two-theta):
two_theta, I/Imax
22.3, 27
26.0, 100
26.5, 27
34.9, 25
35.3, 13
39.2, 16
46.5, 22
53.5, 14

Cell and atoms:
Unit cell a=8.145 b=8.145 c=10.850 alpha=126.05 beta=126.05 gamma=32.75
Fractional positions:
Cs (0.078, 0.078, 0.262)
Cs (0.247, 0.247, 0.852)
Cs (0.753, 0.753, 0.148)
Cs (0.922, 0.922, 0.738)
Tb (0.500, 0.500, 0.500)
F (0.000, 0.000, 0.500)
F (0.124, 0.124, 0.040)
F (0.342, 0.342, 0.450)
F (0.427, 0.427, 0.252)
F (0.573, 0.573, 0.748)
F (0.658, 0.658, 0.550)
F (0.876, 0.876, 0.960)


(4)
Calculated powder diffraction line list
Compound: Cs2TcF7
Radiation: Cu Kα X-rays
Structure: a structure optimized by DFT (PBE)
Neutral-atom scattering factors, no anomalous dispersion.

Main lines, in order of rising 2θ (10 to 90 degrees two-theta):
two_theta, I/Imax
22.6, 100
22.9, 51
26.7, 18
27.8, 42
29.1, 25
35.4, 22
36.5, 25
36.9, 25

Cell and atoms:
Unit cell a=8.368 b=8.368 c=10.886 alpha=129.93 beta=129.93 gamma=47.07
Fractional positions:
Cs (0.104, 0.235, 0.261)
Cs (0.235, 0.104, 0.761)
Cs (0.765, 0.896, 0.239)
Cs (0.896, 0.765, 0.739)
Tc (0.457, 0.543, 0.250)
Tc (0.543, 0.457, 0.750)
F (0.161, 0.839, 0.250)
F (0.233, 0.628, 0.601)
F (0.285, 0.552, 0.020)
F (0.299, 0.390, 0.187)
F (0.372, 0.767, 0.899)
F (0.390, 0.299, 0.687)
F (0.448, 0.715, 0.480)
F (0.552, 0.285, 0.520)
F (0.610, 0.701, 0.313)
F (0.628, 0.233, 0.101)
F (0.701, 0.610, 0.813)
F (0.715, 0.448, 0.980)
F (0.767, 0.372, 0.399)
F (0.839, 0.161, 0.750)


(5)
Calculated powder diffraction line list
Compound: Cs3TeF7
Radiation: Cu Kα X-rays
Structure: a structure optimized by DFT (PBE)
Neutral-atom scattering factors, no anomalous dispersion.

Main lines, in order of rising 2θ (10 to 90 degrees two-theta):
two_theta, I/Imax
24.3, 100
26.3, 17
27.0, 28
28.6, 37
35.4, 24
39.7, 30
46.1, 18
48.1, 14

Cell and atoms:
Unit cell a=8.830 b=8.830 c=6.603 alpha=90.00 beta=90.00 gamma=90.00
Fractional positions:
Cs (0.000, 0.000, 0.000)
Cs (0.194, 0.306, 0.500)
Cs (0.306, 0.806, 0.500)
Cs (0.500, 0.500, 0.000)
Cs (0.694, 0.194, 0.500)
Cs (0.806, 0.694, 0.500)
Te (0.000, 0.500, 0.000)
Te (0.500, 0.000, 0.000)
F (0.000, 0.000, 0.500)
F (0.114, 0.614, 0.232)
F (0.114, 0.614, 0.768)
F (0.168, 0.332, 0.000)
F (0.332, 0.832, 0.000)
F (0.386, 0.114, 0.232)
F (0.386, 0.114, 0.768)
F (0.500, 0.500, 0.500)
F (0.614, 0.886, 0.232)
F (0.614, 0.886, 0.768)
F (0.668, 0.168, 0.000)
F (0.832, 0.668, 0.000)
F (0.886, 0.386, 0.232)
F (0.886, 0.386, 0.768)


(6)
Calculated powder diffraction line list
Compound: Cs3TiF7
Radiation: Cu Kα X-rays
Structure: a structure optimized by DFT (PBE)
Neutral-atom scattering factors, no anomalous dispersion.

Main lines, in order of rising 2θ (10 to 90 degrees two-theta):
two_theta, I/Imax
23.1, 20
25.0, 100
27.0, 26
28.0, 28
29.3, 36
32.9, 22
36.6, 33
41.0, 27

Cell and atoms:
Unit cell a=8.620 b=8.620 c=6.365 alpha=90.00 beta=90.00 gamma=90.00
Fractional positions:
Cs (0.000, 0.000, 0.000)
Cs (0.194, 0.306, 0.500)
Cs (0.306, 0.806, 0.500)
Cs (0.500, 0.500, 0.000)
Cs (0.694, 0.194, 0.500)
Cs (0.806, 0.694, 0.500)
Ti (0.000, 0.500, 0.000)
Ti (0.500, 0.000, 0.000)
F (0.000, 0.000, 0.500)
F (0.109, 0.609, 0.213)
F (0.109, 0.609, 0.787)
F (0.155, 0.345, 0.000)
F (0.345, 0.845, 0.000)
F (0.391, 0.109, 0.213)
F (0.391, 0.109, 0.787)
F (0.500, 0.500, 0.500)
F (0.609, 0.891, 0.213)
F (0.609, 0.891, 0.787)
F (0.655, 0.155, 0.000)
F (0.845, 0.655, 0.000)
F (0.891, 0.391, 0.213)
F (0.891, 0.391, 0.787)